Theoretical powder XRD pattern of Sr2TaCoO6 for Cu Ka, from a PBE+U-relaxed structure.
Kinematic intensities with the Lorentz-polarization factor, no thermal factor.

Top 10 peaks for 10 to 80 degrees two-theta, low angle first:
index, 2θ (°), Rel. int.
0 0 4, 19.42, 24
1 1 -1, 31.96, 100
2 -1 0, 32.09, 20
0 2 4, 45.67, 12
2 0 -6, 45.95, 25
0 3 -2, 56.87, 16
1 2 -7, 56.99, 16
3 0 -1, 57.11, 15
2 2 -2, 66.78, 15
3 1 -7, 76.15, 10

Cell and atoms:
```
Sr2TaCoO6
1.0
5.579 0.000 0.000
-2.789 4.861 0.000
-0.006 -3.170 18.293
Sr Ta Co O
8 4 4 24
Direct
0.000 0.000 0.000
0.102 0.248 0.375
0.233 0.494 0.744
0.362 0.752 0.127
0.477 0.998 0.496
0.623 0.246 0.872
0.732 0.506 0.251
0.850 0.741 0.620
0.048 0.130 0.190
0.311 0.623 0.936
0.541 0.116 0.682
0.790 0.623 0.436
0.165 0.371 0.559
0.418 0.876 0.312
0.678 0.373 0.062
0.928 0.873 0.810
0.116 0.772 0.376
0.147 0.279 0.861
0.152 0.783 0.878
0.201 0.954 0.740
0.224 0.979 0.247
0.228 0.495 0.259
0.355 0.751 0.612
0.360 0.267 0.624
0.364 0.284 0.129
0.464 0.474 0.495
0.493 0.968 0.010
0.495 0.458 0.992
0.608 0.260 0.367
0.612 0.773 0.377
0.659 0.788 0.880
0.705 0.962 0.742
0.709 0.463 0.755
0.717 0.980 0.248
0.868 0.267 0.624
0.868 0.783 0.117
0.869 0.292 0.133
0.968 0.474 0.495
0.973 0.987 0.505
0.994 0.464 0.994
```